1.
Diffraction record for MgTi. The PXRD pattern is computed, not measured: it uses a PBE-relaxed structure and Cu Kα (λ = 1.5418 Å).
Lines closer than 0.1° are merged.

Structural model:
```
MgTi
1.0
4.825 0.000 0.000
0.000 12.547 0.000
0.000 0.000 5.174
Mg Ti
8 8
direct
0.250 0.119 0.167
0.250 0.250 0.684
0.250 0.381 0.167
0.250 0.750 0.676
0.750 0.250 0.324
0.750 0.619 0.833
0.750 0.750 0.316
0.750 0.881 0.833
0.250 0.502 0.657
0.250 0.610 0.184
0.250 0.890 0.184
0.250 0.998 0.657
0.750 0.002 0.343
0.750 0.110 0.816
0.750 0.390 0.816
0.750 0.498 0.343
```

Main lines, by angle (5° ≤ 2θ ≤ 70°):
d (Å)	Position (°2θ)	I_rel	h k l
6.273	14.12	23	0 2 0
2.682	33.41	22	0 4 1
2.413	37.27	37	2 0 0
2.344	38.40	100	1 4 1
2.280	39.53	43	1 0 2
1.379	67.96	16	3 4 1

***

2.
Diffraction record for MgTi. The PXRD pattern is computed, not measured: it uses a PBE-relaxed structure and Cu Kα (λ = 1.5418 Å).
Lines closer than 0.1° are merged.

Structural model:
```
MgTi
1.0
6.016 0.000 0.000
0.000 4.778 0.000
-1.504 0.000 8.186
Mg Ti
6 6
direct
0.023 0.250 0.109
0.311 0.750 0.233
0.468 0.750 0.888
0.532 0.250 0.112
0.689 0.250 0.767
0.977 0.750 0.891
0.131 0.750 0.548
0.184 0.250 0.741
0.350 0.250 0.452
0.650 0.750 0.548
0.816 0.750 0.259
0.869 0.250 0.452
```

Main lines, by angle (5° ≤ 2θ ≤ 70°):
d (Å)	Position (°2θ)	I_rel	h k l
8.186	10.81	52	0 0 1
2.634	34.03	32	2 0 1
2.389	37.65	41	0 2 0
2.370	37.97	60	0 1 3
2.307	39.05	100	2 1 -2
1.770	51.65	18	2 2 1